Entry 1:
The following is a calculated powder diffractogram of Ho2ScAu3. It was derived from a cell relaxed with GGA-PBE, using a wavelength of 1.5418 Å.

Principal peaks in the range 15 to 90 degrees two-theta, sorted by position:
25.22°, 3.531 Å, I 7, (0 1 2)
35.97°, 2.497 Å, I 100, (1 1 0)
51.79°, 1.765 Å, I 18, (0 2 4)
64.67°, 1.441 Å, I 36, (3 0 0)
76.28°, 1.248 Å, I 11, (2 2 0)
87.34°, 1.117 Å, I 17, (1 3 4)

Structure:
```
data_Ho2ScAu3
_cell_length_a 4.9918
_cell_length_b 4.9918
_cell_length_c 12.2376
_cell_angle_alpha 90.00
_cell_angle_beta 90.00
_cell_angle_gamma 120.00
_space_group_name_H-M_alt 'P -3 m 1'
_space_group_IT_number 164
_space_group_name_Hall '-P 3 2"'
loop_
_atom_site_label
_atom_site_type_symbol
_atom_site_fract_x
_atom_site_fract_y
_atom_site_fract_z
Ho1 Ho 0.0000 0.0000 0.0000
Ho2 Ho 0.0000 0.0000 0.5000
Ho3 Ho 0.3333 0.6667 0.1715
Sc1 Sc 0.3333 0.6667 0.6645
Au1 Au 0.0000 0.0000 0.2549
Au2 Au 0.3333 0.6667 0.4189
Au3 Au 0.3333 0.6667 0.9101
```

=====

Entry 2:
The following is a calculated powder diffractogram of LiSiGeHF. It was derived from a cell relaxed with GGA-PBE, using a wavelength of 1.5418 Å.

Principal peaks in the range 15 to 90 degrees two-theta, sorted by position:
18.08°, 4.907 Å, I 100, (0 0 1)
25.43°, 3.503 Å, I 54, (0 1 1)
26.51°, 3.362 Å, I 45, (1 0 1)
26.74°, 3.334 Å, I 47, (1 1 0)
37.75°, 2.383 Å, I 33, (1 -1 0)
39.07°, 2.306 Å, I 30, (1 2 1)

Structure:
```
data_LiSiGeHF
_cell_length_a 4.006
_cell_length_b 4.768
_cell_length_c 5.303
_cell_angle_alpha 75.08
_cell_angle_beta 69.12
_cell_angle_gamma 67.02
_space_group_name_H-M_alt 'P 1'
_space_group_IT_number 1
_space_group_name_Hall 'P 1'
loop_
_atom_site_label
_atom_site_type_symbol
_atom_site_fract_x
_atom_site_fract_y
_atom_site_fract_z
Li1 Li 0.000 0.000 0.000
Si1 Si 0.785 0.730 0.704
Ge1 Ge 0.417 0.380 0.775
H1 H 0.558 0.393 0.455
F1 F 0.914 0.805 0.354
```

=====

Entry 3:
The following is a calculated powder diffractogram of Er4TePb2. It was derived from a cell relaxed with GGA-PBE, using a wavelength of 1.5418 Å.

Principal peaks in the range 15 to 90 degrees two-theta, sorted by position:
27.40°, 3.255 Å, I 43, (0 2 0)
31.64°, 2.828 Å, I 58, (2 1 0)
32.75°, 2.735 Å, I 41, (2 1 -2)
33.06°, 2.710 Å, I 65, (0 2 2)
34.10°, 2.629 Å, I 100, (1 0 3)
35.85°, 2.505 Å, I 48, (1 0 -4)

Structure:
```
data_Er4TePb2
_cell_length_a 6.493
_cell_length_b 6.509
_cell_length_c 10.116
_cell_angle_alpha 90.00
_cell_angle_beta 104.75
_cell_angle_gamma 90.00
_space_group_name_H-M_alt 'P 1 21/m 1'
_space_group_IT_number 11
_space_group_name_Hall '-P 2yb'
loop_
_atom_site_label
_atom_site_type_symbol
_atom_site_fract_x
_atom_site_fract_y
_atom_site_fract_z
Er1 Er 0.023 0.250 0.337
Er2 Er 0.113 0.250 0.954
Er3 Er 0.467 0.001 0.232
Te1 Te 0.110 0.250 0.656
Pb1 Pb 0.306 0.750 0.957
Pb2 Pb 0.420 0.750 0.494
```

=====

Entry 4:
The following is a calculated powder diffractogram of Ba4SrPd3. It was derived from a cell relaxed with GGA-PBE, using a wavelength of 1.5418 Å.

Principal peaks in the range 15 to 90 degrees two-theta, sorted by position:
25.41°, 3.505 Å, I 69, (2 2 -1)
25.62°, 3.477 Å, I 72, (1 1 -3)
25.81°, 3.452 Å, I 68, (3 1 1)
32.94°, 2.719 Å, I 100, (4 2 -2)
33.28°, 2.692 Å, I 54, (5 1 0)
39.55°, 2.279 Å, I 66, (1 3 2)

Structure:
```
data_Ba4SrPd3
_cell_length_a 15.591
_cell_length_b 7.933
_cell_length_c 11.752
_cell_angle_alpha 90.00
_cell_angle_beta 113.43
_cell_angle_gamma 90.00
_space_group_name_H-M_alt 'C 1 c 1'
_space_group_IT_number 9
_space_group_name_Hall 'C -2yc'
loop_
_atom_site_label
_atom_site_type_symbol
_atom_site_fract_x
_atom_site_fract_y
_atom_site_fract_z
Ba1 Ba 0.000 0.164 0.000
Ba2 Ba 0.102 0.333 0.694
Ba3 Ba 0.312 0.335 0.091
Ba4 Ba 0.404 0.175 0.791
Sr1 Sr 0.210 0.168 0.391
Pd1 Pd 0.016 0.001 0.759
Pd2 Pd 0.299 0.492 0.335
Pd3 Pd 0.402 0.002 0.539
```

=====

Entry 5:
The following is a calculated powder diffractogram of Cs5GeO4F2. It was derived from a cell relaxed with GGA-PBE, using a wavelength of 1.5418 Å.

Principal peaks in the range 15 to 90 degrees two-theta, sorted by position:
25.20°, 3.534 Å, I 54, (0 0 2)
26.11°, 3.413 Å, I 81, (2 1 1)
26.90°, 3.314 Å, I 49, (2 2 0)
27.59°, 3.233 Å, I 100, (0 3 1)
37.19°, 2.418 Å, I 60, (2 2 2)
48.84°, 1.865 Å, I 31, (2 5 1)

Structure:
```
data_Cs5GeO4F2
_cell_length_a 8.347
_cell_length_b 10.907
_cell_length_c 7.069
_cell_angle_alpha 90.00
_cell_angle_beta 90.00
_cell_angle_gamma 90.00
_space_group_name_H-M_alt 'A m m 2'
_space_group_IT_number 38
_space_group_name_Hall 'A 2 -2'
loop_
_atom_site_label
_atom_site_type_symbol
_atom_site_fract_x
_atom_site_fract_y
_atom_site_fract_z
Cs1 Cs 0.000 0.000 0.000
Cs2 Cs 0.268 0.182 0.483
Ge1 Ge 0.500 0.000 0.983
O1 O 0.331 0.000 0.142
O2 O 0.500 0.132 0.833
F1 F 0.000 0.218 0.747
```

=====

Entry 6:
The following is a calculated powder diffractogram of Co2B. It was derived from a cell relaxed with GGA-PBE, using a wavelength of 1.5418 Å.

Principal peaks in the range 15 to 90 degrees two-theta, sorted by position:
36.26°, 2.478 Å, I 19, (2 0 0)
42.61°, 2.122 Å, I 25, (0 0 2)
46.21°, 1.964 Å, I 100, (2 1 1)
57.15°, 1.612 Å, I 15, (2 0 2)
80.56°, 1.192 Å, I 17, (2 1 3)
83.62°, 1.156 Å, I 16, (4 1 1)

Structure:
```
data_Co2B
_cell_length_a 4.956
_cell_length_b 4.956
_cell_length_c 4.244
_cell_angle_alpha 90.00
_cell_angle_beta 90.00
_cell_angle_gamma 90.00
_space_group_name_H-M_alt 'I 4/m c m'
_space_group_IT_number 140
_space_group_name_Hall '-I 4 2c'
loop_
_atom_site_label
_atom_site_type_symbol
_atom_site_fract_x
_atom_site_fract_y
_atom_site_fract_z
Co1 Co 0.168 0.332 0.000
B1 B 0.000 0.000 0.250
```

=====

Entry 7:
The following is a calculated powder diffractogram of Ga2FeCo6. It was derived from a cell relaxed with GGA-PBE, using a wavelength of 1.5418 Å.

Principal peaks in the range 15 to 90 degrees two-theta, sorted by position:
44.41°, 2.040 Å, I 100, (1 0 5)
47.17°, 1.927 Å, I 24, (2 0 0)
47.84°, 1.901 Å, I 18, (0 2 4)
59.58°, 1.552 Å, I 8, (0 2 6)
69.45°, 1.353 Å, I 11, (2 2 4)
85.76°, 1.133 Å, I 13, (3 0 5)

Structure:
```
data_Ga2FeCo6
_cell_length_a 3.853
_cell_length_b 4.914
_cell_length_c 12.009
_cell_angle_alpha 90.00
_cell_angle_beta 90.00
_cell_angle_gamma 90.00
_space_group_name_H-M_alt 'I m m 2'
_space_group_IT_number 44
_space_group_name_Hall 'I 2 -2'
loop_
_atom_site_label
_atom_site_type_symbol
_atom_site_fract_x
_atom_site_fract_y
_atom_site_fract_z
Ga1 Ga 0.000 0.000 0.000
Ga2 Ga 0.000 0.000 0.222
Fe1 Fe 0.000 0.500 0.022
Co1 Co 0.000 0.236 0.807
Co2 Co 0.000 0.246 0.411
Co3 Co 0.000 0.247 0.613
```

=====

Entry 8:
The following is a calculated powder diffractogram of NaAl2. It was derived from a cell relaxed with GGA-PBE, using a wavelength of 1.5418 Å.

Principal peaks in the range 15 to 90 degrees two-theta, sorted by position:
31.77°, 2.817 Å, I 24, (2 2 0)
37.44°, 2.402 Å, I 100, (3 1 1)
39.17°, 2.300 Å, I 43, (2 2 2)
60.37°, 1.533 Å, I 31, (5 1 1)
66.38°, 1.408 Å, I 27, (4 4 0)
79.86°, 1.201 Å, I 16, (6 2 2)

Structure:
Unit cell a=7.967 b=7.967 c=7.967 alpha=90.00 beta=90.00 gamma=90.00
Space group Fd-3m (No. 227, origin choice 2)
Symmetry-distinct sites (fractional):
Na1 0.125 0.125 0.125 [8 per cell]
Al1 0.000 0.000 0.500 [16 per cell]

=====

Entry 9:
The following is a calculated powder diffractogram of CdNi2As. It was derived from a cell relaxed with GGA-PBE, using a wavelength of 1.5418 Å.

Principal peaks in the range 15 to 90 degrees two-theta, sorted by position:
27.09°, 3.292 Å, I 40, (1 0 1)
36.01°, 2.494 Å, I 39, (1 0 4)
40.53°, 2.226 Å, I 100, (0 1 5)
46.59°, 1.949 Å, I 84, (1 1 0)
63.43°, 1.466 Å, I 25, (2 0 5)
82.28°, 1.172 Å, I 23, (1 2 5)

Structure:
```
data_CdNi2As
_cell_length_a 3.8985
_cell_length_b 3.8985
_cell_length_c 14.8003
_cell_angle_alpha 90.00
_cell_angle_beta 90.00
_cell_angle_gamma 120.00
_space_group_name_H-M_alt 'R 3 m'
_space_group_IT_number 160
_space_group_name_Hall 'R 3 -2"'
loop_
_atom_site_label
_atom_site_type_symbol
_atom_site_fract_x
_atom_site_fract_y
_atom_site_fract_z
Cd1 Cd 0.0000 0.0000 0.0000
Ni1 Ni 0.0000 0.0000 0.2057
Ni2 Ni 0.0000 0.0000 0.4424
As1 As 0.0000 0.0000 0.8168
```

=====

Entry 10:
The following is a calculated powder diffractogram of K4Th3PdSe8. It was derived from a cell relaxed with GGA-PBE, using a wavelength of 1.5418 Å.

Principal peaks in the range 15 to 90 degrees two-theta, sorted by position:
28.44°, 3.138 Å, I 51, (4 0 0)
28.60°, 3.121 Å, I 100, (2 2 -2)
36.52°, 2.461 Å, I 22, (2 2 -3)
39.61°, 2.276 Å, I 53, (2 2 2)
41.90°, 2.156 Å, I 37, (6 2 -2)
42.19°, 2.142 Å, I 19, (0 4 0)

Structure:
```
data_K4Th3PdSe8
_cell_length_a 14.970
_cell_length_b 8.569
_cell_length_c 9.139
_cell_angle_alpha 90.00
_cell_angle_beta 123.02
_cell_angle_gamma 90.00
_space_group_name_H-M_alt 'C 1 2/m 1'
_space_group_IT_number 12
_space_group_name_Hall '-C 2y'
loop_
_atom_site_label
_atom_site_type_symbol
_atom_site_fract_x
_atom_site_fract_y
_atom_site_fract_z
K1 K 0.000 0.000 0.000
K2 K 0.000 0.500 0.000
K3 K 0.250 0.250 0.000
Th1 Th 0.000 0.000 0.500
Th2 Th 0.250 0.250 0.500
Pd1 Pd 0.000 0.500 0.500
Se1 Se 0.018 0.246 0.297
Se2 Se 0.238 0.000 0.716
Se3 Se 0.242 0.500 0.708
```

=====

Entry 11:
The following is a calculated powder diffractogram of ScAl6Ga2. It was derived from a cell relaxed with GGA-PBE, using a wavelength of 1.5418 Å.

Principal peaks in the range 15 to 90 degrees two-theta, sorted by position:
37.97°, 2.370 Å, I 100, (3 1 1)
38.09°, 2.363 Å, I 99, (3 1 -2)
41.84°, 2.159 Å, I 37, (6 0 -1)
44.14°, 2.052 Å, I 32, (0 2 0)
46.52°, 1.952 Å, I 27, (0 0 3)
62.43°, 1.487 Å, I 24, (6 2 -1)

Structure:
```
data_ScAl6Ga2
_cell_length_a 12.955
_cell_length_b 4.103
_cell_length_c 6.233
_cell_angle_alpha 90.00
_cell_angle_beta 110.01
_cell_angle_gamma 90.00
_space_group_name_H-M_alt 'C 1 2/m 1'
_space_group_IT_number 12
_space_group_name_Hall '-C 2y'
loop_
_atom_site_label
_atom_site_type_symbol
_atom_site_fract_x
_atom_site_fract_y
_atom_site_fract_z
Sc1 Sc 0.000 0.000 0.000
Al1 Al 0.115 0.000 0.659
Al2 Al 0.168 0.500 0.003
Al3 Al 0.225 0.000 0.330
Ga1 Ga 0.061 0.500 0.339
```

=====

Entry 12:
The following is a calculated powder diffractogram of K2Ag2GeCl6. It was derived from a cell relaxed with GGA-PBE, using a wavelength of 1.5418 Å.

Principal peaks in the range 15 to 90 degrees two-theta, sorted by position:
15.31°, 5.788 Å, I 28, (2 0 0)
16.74°, 5.297 Å, I 41, (1 1 -1)
23.43°, 3.796 Å, I 100, (3 1 -1)
27.34°, 3.263 Å, I 70, (1 1 -2)
34.67°, 2.587 Å, I 26, (2 2 1)
46.77°, 1.942 Å, I 19, (4 2 1)

Structure:
```
data_K2Ag2GeCl6
_cell_length_a 13.272
_cell_length_b 7.577
_cell_length_c 7.433
_cell_angle_alpha 90.00
_cell_angle_beta 119.29
_cell_angle_gamma 90.00
_space_group_name_H-M_alt 'C 1 2/m 1'
_space_group_IT_number 12
_space_group_name_Hall '-C 2y'
loop_
_atom_site_label
_atom_site_type_symbol
_atom_site_fract_x
_atom_site_fract_y
_atom_site_fract_z
K1 K 0.233 0.000 0.174
Ag1 Ag 0.066 0.500 0.227
Ge1 Ge 0.000 0.000 0.500
Cl1 Cl 0.065 0.244 0.803
Cl2 Cl 0.220 0.000 0.582
```

=====

Entry 13:
The following is a calculated powder diffractogram of Zn3Pt4Rh. It was derived from a cell relaxed with GGA-PBE, using a wavelength of 1.5418 Å.

Principal peaks in the range 15 to 90 degrees two-theta, sorted by position:
27.41°, 3.254 Å, I 26, (2 0 1)
38.85°, 2.318 Å, I 26, (1 2 1)
39.72°, 2.269 Å, I 20, (1 0 2)
39.89°, 2.260 Å, I 44, (4 0 0)
42.68°, 2.119 Å, I 100, (2 2 1)
43.48°, 2.081 Å, I 24, (2 0 2)

Structure:
```
data_Zn3Pt4Rh
_cell_length_a 9.040
_cell_length_b 5.583
_cell_length_c 4.689
_cell_angle_alpha 90.00
_cell_angle_beta 90.00
_cell_angle_gamma 90.00
_space_group_name_H-M_alt 'P m m a'
_space_group_IT_number 51
_space_group_name_Hall '-P 2a 2a'
loop_
_atom_site_label
_atom_site_type_symbol
_atom_site_fract_x
_atom_site_fract_y
_atom_site_fract_z
Zn1 Zn 0.000 0.000 0.000
Zn2 Zn 0.250 0.000 0.367
Zn3 Zn 0.250 0.500 0.356
Pt1 Pt 0.000 0.249 0.500
Pt2 Pt 0.250 0.251 0.863
Rh1 Rh 0.000 0.500 0.000
```

=====

Entry 14:
The following is a calculated powder diffractogram of SrH2Cl. It was derived from a cell relaxed with GGA-PBE, using a wavelength of 1.5418 Å.

Principal peaks in the range 15 to 90 degrees two-theta, sorted by position:
18.37°, 4.829 Å, I 100, (0 0 1)
30.62°, 2.920 Å, I 61, (1 1 0)
35.94°, 2.499 Å, I 72, (1 1 1)
37.24°, 2.414 Å, I 18, (0 0 2)
43.21°, 2.094 Å, I 21, (0 2 1)
48.96°, 1.861 Å, I 30, (1 1 2)

Structure:
```
data_SrH2Cl
_cell_length_a 3.753
_cell_length_b 4.647
_cell_length_c 4.829
_cell_angle_alpha 90.00
_cell_angle_beta 90.00
_cell_angle_gamma 90.00
_space_group_name_H-M_alt 'P m m m'
_space_group_IT_number 47
_space_group_name_Hall '-P 2 2'
loop_
_atom_site_label
_atom_site_type_symbol
_atom_site_fract_x
_atom_site_fract_y
_atom_site_fract_z
Sr1 Sr 0.000 0.000 0.000
H1 H 0.118 0.000 0.500
Cl1 Cl 0.500 0.500 0.000
```